1.
MgIn4Pd7: calculated PXRD pattern (Cu Kα), based on a crystal structure in Alexandria, relaxed with PBE.
Intensities are scaled so that the largest is 1000.

Main lines, most intense first (10° ≤ 2θ ≤ 90°):
39.6°, rel. 1000
37.1°, rel. 967
43.6°, rel. 464
34.7°, rel. 423
45.5°, rel. 284
51.7°, rel. 265
42.5°, rel. 221
68.5°, rel. 191
19.8°, rel. 174
53.5°, rel. 173
20.5°, rel. 146
30.5°, rel. 143

Atomic structure:
Unit cell a=11.152 b=4.848 c=9.719 alpha=90.00 beta=120.77 gamma=90.00
Space group C2/m (No. 12)
Inequivalent atoms, fractional coordinates:
Mg 0.000 0.000 0.000 (multiplicity 2)
In 0.087 0.500 0.776 (multiplicity 4)
In 0.241 0.500 0.329 (multiplicity 4)
Pd 0.000 0.500 0.000 (multiplicity 2)
Pd 0.074 0.000 0.324 (multiplicity 4)
Pd 0.137 0.500 0.529 (multiplicity 4)
Pd 0.209 0.000 0.911 (multiplicity 4)

***

2.
Mn2NiTe: calculated PXRD pattern (Cu Kα), based on a crystal structure in Alexandria, relaxed with PBE.
Intensities are scaled so that the largest is 1000.

Main lines, most intense first (10° ≤ 2θ ≤ 90°):
42.0°, rel. 1000
76.8°, rel. 306
61.0°, rel. 157
25.4°, rel. 130
49.7°, rel. 67
29.4°, rel. 50
67.1°, rel. 29
82.4°, rel. 22
69.1°, rel. 19
52.1°, rel. 14

Atomic structure:
Unit cell a=6.080 b=6.080 c=6.080 alpha=90.00 beta=90.00 gamma=90.00
Space group F-43m (No. 216)
Inequivalent atoms, fractional coordinates:
Mn 0.000 0.000 0.000 (multiplicity 4)
Mn 0.250 0.250 0.250 (multiplicity 4)
Ni 0.250 0.250 0.750 (multiplicity 4)
Te 0.000 0.000 0.500 (multiplicity 4)

***

3.
LiDy3Au2: calculated PXRD pattern (Cu Kα), based on a crystal structure in Alexandria, relaxed with PBE.
Intensities are scaled so that the largest is 1000.

Main lines, most intense first (10° ≤ 2θ ≤ 90°):
35.4°, rel. 1000
34.9°, rel. 926
63.2°, rel. 335
50.6°, rel. 326
21.4°, rel. 223
63.6°, rel. 181
62.2°, rel. 171
85.4°, rel. 150
84.5°, rel. 150
74.9°, rel. 128
73.6°, rel. 105
24.7°, rel. 84

Atomic structure:
Unit cell a=5.0684 b=5.0684 c=12.7030 alpha=90.00 beta=90.00 gamma=120.00
Space group P-3m1 (No. 164)
Inequivalent atoms, fractional coordinates:
Li 0.3333 0.6667 0.1752 (multiplicity 2)
Dy 0.0000 0.0000 0.2568 (multiplicity 2)
Dy 0.3333 0.6667 0.4227 (multiplicity 2)
Dy 0.3333 0.6667 0.9209 (multiplicity 2)
Au 0.0000 0.0000 0.0000 (multiplicity 1)
Au 0.0000 0.0000 0.5000 (multiplicity 1)
Au 0.3333 0.6667 0.6913 (multiplicity 2)

***

4.
NbHgRh: calculated PXRD pattern (Cu Kα), based on a crystal structure in Alexandria, relaxed with PBE.
Intensities are scaled so that the largest is 1000.

Main lines, most intense first (10° ≤ 2θ ≤ 90°):
37.7°, rel. 1000
38.2°, rel. 960
43.4°, rel. 667
64.7°, rel. 407
45.4°, rel. 296
75.6°, rel. 259
76.5°, rel. 245
24.5°, rel. 208
78.8°, rel. 117
79.0°, rel. 115
62.5°, rel. 114
31.8°, rel. 113

Atomic structure:
Unit cell a=2.972 b=3.993 c=8.766 alpha=90.00 beta=90.00 gamma=90.00
Space group Imm2 (No. 44)
Inequivalent atoms, fractional coordinates:
Nb 0.000 0.000 0.000 (multiplicity 2)
Hg 0.000 0.000 0.675 (multiplicity 2)
Rh 0.000 0.000 0.347 (multiplicity 2)

***

5.
LaTbNd2H: calculated PXRD pattern (Cu Kα), based on a crystal structure in Alexandria, relaxed with PBE.
Intensities are scaled so that the largest is 1000.

Main lines, most intense first (10° ≤ 2θ ≤ 90°):
30.0°, rel. 1000
34.7°, rel. 344
59.3°, rel. 291
50.1°, rel. 243
35.0°, rel. 168
59.7°, rel. 142
62.4°, rel. 125
49.9°, rel. 123
81.4°, rel. 117
81.1°, rel. 59
83.6°, rel. 55
83.8°, rel. 55

Atomic structure:
Unit cell a=5.171 b=5.171 c=5.128 alpha=90.00 beta=90.00 gamma=90.00
Space group P4/mmm (No. 123)
Inequivalent atoms, fractional coordinates:
La 0.000 0.000 0.000 (multiplicity 1)
Tb 0.500 0.500 0.000 (multiplicity 1)
Nd 0.000 0.500 0.500 (multiplicity 2)
H 0.500 0.500 0.500 (multiplicity 1)

***

6.
Mg2Cd3In6: calculated PXRD pattern (Cu Kα), based on a crystal structure in Alexandria, relaxed with PBE.
Intensities are scaled so that the largest is 1000.

Main lines, most intense first (10° ≤ 2θ ≤ 90°):
32.8°, rel. 1000
33.0°, rel. 992
33.6°, rel. 941
35.0°, rel. 847
38.3°, rel. 645
39.2°, rel. 613
39.5°, rel. 609
54.0°, rel. 224
55.1°, rel. 213
69.6°, rel. 212
56.1°, rel. 208
57.7°, rel. 193

Atomic structure:
Unit cell a=4.565 b=5.761 c=11.470 alpha=79.56 beta=80.90 gamma=66.97
Space group P-1 (No. 2)
Inequivalent atoms, fractional coordinates:
Mg 0.228 0.135 0.408 (multiplicity 2)
Cd 0.138 0.671 0.047 (multiplicity 2)
Cd 0.500 0.500 0.500 (multiplicity 1)
In 0.047 0.237 0.674 (multiplicity 2)
In 0.313 0.605 0.770 (multiplicity 2)
In 0.409 0.034 0.138 (multiplicity 2)